# Ho4Cu2Ag
Calculated powder diffractogram, a wavelength of 1.5418 Å. Input: DFT lattice parameters and positions (PBE).

```
7
Lattice="2.4670 1.4243 7.9616 -2.4670 1.4243 7.9616 0.0000 -2.8487 7.9616" Properties=species:S:1:pos:R:3 pbc="T T T"
Ho 0.0000 0.0000 2.8688
Ho 0.0000 0.0000 8.8664
Ho 0.0000 0.0000 15.0185
Ho 0.0000 0.0000 21.0161
Cu 0.0000 0.0000 5.9552
Cu 0.0000 0.0000 17.9297
Ag 0.0000 0.0000 11.9424
```

Top 10 peaks for 10 to 90 degrees two-theta, by angle:
two_theta  I (rel.)
25.64  47
36.42  100
36.72  94
52.68  33
65.54  18
65.73  34
66.33  15
77.36  11
88.83  15
89.37  14


# Cu3Ag3I8
Calculated powder diffractogram, a wavelength of 1.5418 Å. Input: DFT lattice parameters and positions (PBE).

```
14
Lattice="4.2040 2.4272 6.9883 -4.2040 2.4272 6.9883 0.0000 -4.8544 6.9883" Properties=species:S:1:pos:R:3 pbc="T T T"
Cu 0.0000 0.0000 0.0000
Cu 0.0000 0.0000 7.8210
Cu 0.0000 0.0000 13.1440
Ag -4.2040 0.0000 10.4825
Ag -2.1020 1.2136 3.4942
Ag 2.1020 1.2136 3.4942
I 0.0000 -2.4976 8.6404
I -2.1630 1.2488 8.6404
I -2.1630 -1.2488 12.3246
I 0.0000 0.0000 5.2092
I 0.0000 0.0000 15.7558
I 2.1630 1.2488 8.6404
I 2.1630 -1.2488 12.3246
I 0.0000 2.4976 12.3246
```

Top 10 peaks for 10 to 90 degrees two-theta, by angle:
two_theta  I (rel.)
24.82  15
25.91  32
29.88  100
42.50  55
43.03  54
53.27  19
62.08  17
70.03  16
70.79  16
78.51  17


Q: Number 2 is which compound?
A: Cu3Ag3I8